Starting from a DFT-relaxed cell (PBE, Alexandria), the X-ray powder pattern of NdTmTeO2 was computed for copper Kα.

```
data_NdTmTeO2
_cell_length_a 6.901
_cell_length_b 4.126
_cell_length_c 7.851
_cell_angle_alpha 90.00
_cell_angle_beta 107.43
_cell_angle_gamma 90.00
_symmetry_space_group_name_H-M 'P 1 21/m 1'
_symmetry_Int_Tables_number 11
_symmetry_space_group_name_Hall '-P 2yb'
loop_
_atom_site_label
_atom_site_type_symbol
_atom_site_fract_x
_atom_site_fract_y
_atom_site_fract_z
Nd1 Nd 0.180 0.250 0.426
Tm1 Tm 0.153 0.250 0.913
Te1 Te 0.452 0.750 0.754
O1 O 0.013 0.750 0.887
O2 O 0.016 0.750 0.370
```

Most intense lines, 10° ≤ 2θ ≤ 90°, in order of rising 2θ:
| d_spacing | I/Imax |
| --- | --- |
| 3.496 | 90 |
| 2.949 | 96 |
| 2.903 | 100 |
| 2.786 | 77 |
| 2.773 | 48 |
| 2.573 | 85 |
| 2.063 | 44 |
| 1.682 | 40 |